For Li6Co5Ni3O16, a cell relaxed with PBE+U gives the theoretical X-ray powder pattern in this record (Cu Ka).
No peak broadening, texture or thermal motion is included.

Principal peaks in the range 10° ≤ 2θ ≤ 90°, low angle first:
index	Position (°2θ)	I_rel
0 0 2	19.3	927
0 1 -1	20.0	421
1 0 -1	20.3	384
1 -1 1	20.4	360
1 0 1	20.6	1000
-1 1 2	26.8	298
1 1 2	37.4	304
0 2 1	37.8	405
-2 2 1	38.1	397
2 0 3	47.8	703

```
data_Li6Co5Ni3O16
_chemical_formula_sum 'Li6 Co5 Ni3 O16'
_symmetry_space_group_name_H-M 'P 1'
_symmetry_Int_Tables_number 1
_cell_length_a 5.648
_cell_length_b 5.713
_cell_length_c 9.214
_cell_angle_alpha 91.64
_cell_angle_beta 90.18
_cell_angle_gamma 119.35
loop_
_symmetry_equiv_pos_as_xyz
'x,y,z'
loop_
_atom_site_label
_atom_site_type_symbol
_atom_site_fract_x
_atom_site_fract_y
_atom_site_fract_z
Li1 Li 0.000 0.000 0.000
Li2 Li 0.004 0.505 0.006
Li3 Li 0.163 0.334 0.505
Li4 Li 0.501 0.001 0.000
Li5 Li 0.659 0.332 0.502
Li6 Li 0.667 0.841 0.498
Co1 Co 0.158 0.832 0.541
Co2 Co 0.168 0.333 0.769
Co3 Co 0.498 0.499 0.041
Co4 Co 0.660 0.334 0.769
Co5 Co 0.999 0.505 0.269
Ni1 Ni 0.491 0.995 0.267
Ni2 Ni 0.659 0.826 0.766
Ni3 Ni 0.993 0.992 0.267
O1 O 0.149 0.817 0.160
O2 O 0.168 0.343 0.141
O3 O 0.298 0.116 0.405
O4 O 0.299 0.673 0.407
O5 O 0.343 0.636 0.902
O6 O 0.348 0.199 0.894
O7 O 0.487 0.472 0.660
O8 O 0.507 0.013 0.643
O9 O 0.671 0.341 0.142
O10 O 0.674 0.845 0.139
O11 O 0.789 0.631 0.901
O12 O 0.836 0.183 0.872
O13 O 0.840 0.178 0.370
O14 O 0.857 0.667 0.404
O15 O 0.991 0.489 0.652
O16 O 0.997 0.005 0.643
```

For Li5Co4NiO10, a cell relaxed with PBE+U gives the theoretical X-ray powder pattern in this record (Cu Ka).
No peak broadening, texture or thermal motion is included.

Principal peaks in the range 10° ≤ 2θ ≤ 90°, low angle first:
index	Position (°2θ)	I_rel
2 0 -1	18.7	1000
0 0 5	36.7	132
1 1 2	37.0	257
2 0 4	38.6	142
2 0 -6	44.3	229
3 1 1	44.8	451
3 1 -4	48.8	83
5 1 0	59.1	94
5 1 -5	64.5	118
1 1 7	65.2	124

```
data_Li5Co4NiO10
_chemical_formula_sum 'Li10 Co8 Ni2 O20'
_symmetry_space_group_name_H-M 'C 1 2/m 1'
_symmetry_Int_Tables_number 12
_cell_length_a 9.594
_cell_length_b 2.842
_cell_length_c 12.566
_cell_angle_alpha 90.00
_cell_angle_beta 102.76
_cell_angle_gamma 90.00
loop_
_symmetry_equiv_pos_as_xyz
'x,y,z'
'-x,-y,-z'
'-x,y,-z'
'x,-y,z'
'x+1/2,y+1/2,z'
'-x+1/2,-y+1/2,-z'
'-x+1/2,y+1/2,-z'
'x+1/2,-y+1/2,z'
loop_
_atom_site_label
_atom_site_type_symbol
_atom_site_fract_x
_atom_site_fract_y
_atom_site_fract_z
Li1 Li 0.000 0.000 0.000
Li2 Li 0.102 0.500 0.198
Li3 Li 0.198 0.000 0.392
Co1 Co 0.096 0.000 0.703
Co2 Co 0.199 0.500 0.901
Ni1 Ni 0.000 0.500 0.500
O1 O 0.040 0.500 0.343
O2 O 0.065 0.000 0.850
O3 O 0.136 0.000 0.560
O4 O 0.165 0.500 0.048
O5 O 0.232 0.500 0.755
```

For Li3CoNi3O8, a cell relaxed with PBE+U gives the theoretical X-ray powder pattern in this record (Cu Ka).
No peak broadening, texture or thermal motion is included.

Principal peaks in the range 10° ≤ 2θ ≤ 90°, low angle first:
index	Position (°2θ)	I_rel
0 0 3	18.5	1000
0 2 -1	36.1	135
2 0 1	36.8	245
2 -2 2	38.3	89
0 2 -4	43.6	210
-2 2 4	44.4	196
2 0 4	44.5	197
2 -2 5	48.3	80
2 0 -8	63.6	53
2 2 0	64.3	110

```
data_Li3CoNi3O8
_chemical_formula_sum 'Li9 Co3 Ni9 O24'
_symmetry_space_group_name_H-M 'P 1'
_symmetry_Int_Tables_number 1
_cell_length_a 5.706
_cell_length_b 5.792
_cell_length_c 14.387
_cell_angle_alpha 90.58
_cell_angle_beta 90.17
_cell_angle_gamma 119.51
loop_
_symmetry_equiv_pos_as_xyz
'x,y,z'
loop_
_atom_site_label
_atom_site_type_symbol
_atom_site_fract_x
_atom_site_fract_y
_atom_site_fract_z
Li1 Li 0.000 0.000 0.000
Li2 Li 0.005 0.507 0.996
Li3 Li 0.165 0.835 0.664
Li4 Li 0.177 0.343 0.664
Li5 Li 0.343 0.179 0.332
Li6 Li 0.509 0.503 0.998
Li7 Li 0.671 0.836 0.667
Li8 Li 0.837 0.173 0.332
Li9 Li 0.843 0.670 0.332
Co1 Co 0.005 0.007 0.499
Co2 Co 0.341 0.673 0.835
Co3 Co 0.670 0.336 0.161
Ni1 Ni 0.005 0.506 0.499
Ni2 Ni 0.169 0.340 0.168
Ni3 Ni 0.173 0.839 0.165
Ni4 Ni 0.341 0.172 0.832
Ni5 Ni 0.505 0.007 0.499
Ni6 Ni 0.505 0.507 0.499
Ni7 Ni 0.669 0.837 0.166
Ni8 Ni 0.839 0.172 0.832
Ni9 Ni 0.841 0.671 0.829
O1 O 0.004 0.005 0.235
O2 O 0.027 0.533 0.758
O3 O 0.152 0.837 0.429
O4 O 0.155 0.817 0.903
O5 O 0.168 0.354 0.905
O6 O 0.180 0.317 0.426
O7 O 0.321 0.146 0.572
O8 O 0.331 0.659 0.570
O9 O 0.332 0.663 0.100
O10 O 0.341 0.202 0.092
O11 O 0.495 0.030 0.236
O12 O 0.506 0.979 0.764
O13 O 0.508 0.526 0.761
O14 O 0.543 0.516 0.236
O15 O 0.673 0.810 0.906
O16 O 0.679 0.354 0.427
O17 O 0.689 0.868 0.426
O18 O 0.699 0.362 0.899
O19 O 0.808 0.155 0.093
O20 O 0.830 0.695 0.570
O21 O 0.853 0.659 0.089
O22 O 0.859 0.176 0.569
O23 O 0.980 0.475 0.238
O24 O 0.986 0.993 0.760
```

For Li5Co2Ni5O12, a cell relaxed with PBE+U gives the theoretical X-ray powder pattern in this record (Cu Ka).
No peak broadening, texture or thermal motion is included.

Principal peaks in the range 10° ≤ 2θ ≤ 90°, low angle first:
index	Position (°2θ)	I_rel
0 0 2	18.7	286
0 2 0	20.3	174
1 1 -1	21.4	107
1 1 1	23.9	233
1 3 1	37.8	232
0 0 4	38.0	97
2 0 -2	38.1	95
2 0 2	44.1	1000
1 3 5	64.0	184
3 3 -1	64.2	183

```
data_Li5Co2Ni5O12
_chemical_formula_sum 'Li10 Co4 Ni10 O24'
_symmetry_space_group_name_H-M 'C 1 2 1'
_symmetry_Int_Tables_number 5
_cell_length_a 5.015
_cell_length_b 8.757
_cell_length_c 9.614
_cell_angle_alpha 90.00
_cell_angle_beta 99.73
_cell_angle_gamma 90.00
loop_
_symmetry_equiv_pos_as_xyz
'x,y,z'
'-x,y,-z'
'x+1/2,y+1/2,z'
'-x+1/2,y+1/2,-z'
loop_
_atom_site_label
_atom_site_type_symbol
_atom_site_fract_x
_atom_site_fract_y
_atom_site_fract_z
Li1 Li 0.000 0.000 0.000
Li2 Li 0.246 0.170 0.248
Li3 Li 0.247 0.998 0.753
Co1 Co 0.000 0.333 0.000
Co2 Co 0.000 0.838 0.500
Ni1 Ni 0.000 0.169 0.500
Ni2 Ni 0.000 0.506 0.500
Ni3 Ni 0.000 0.663 0.000
Ni4 Ni 0.245 0.838 0.247
O1 O 0.111 0.488 0.883
O2 O 0.120 0.682 0.382
O3 O 0.121 0.992 0.380
O4 O 0.126 0.184 0.880
O5 O 0.139 0.339 0.387
O6 O 0.144 0.826 0.886
```